(1)
Simulated powder diffraction line list
Compound: Li2Mn3CoO8
Radiation: CuKα
Structure: the PBE+U geometry in the Materials Project
Lines closer than 0.1° are merged.

Main lines, in order of rising 2θ (10 to 80 degrees two-theta):
| index | Position (°2θ) | I (rel.) |
| --- | --- | --- |
| 1 1 1 | 18.4 | 100 |
| 3 1 1 | 35.7 | 47 |
| 2 2 2 | 37.3 | 11 |
| 4 0 0 | 43.3 | 54 |
| 3 3 1 | 47.4 | 10 |
| 5 1 1 | 57.3 | 20 |
| 4 4 0 | 63.0 | 31 |
| 5 3 1 | 66.2 | 14 |
| 6 2 2 | 75.5 | 7 |
| 4 4 4 | 79.5 | 8 |

Cell and atoms:
Cell: 8.3522 8.3522 8.3522 Å, 90.00 90.00 90.00°
Space group P4_332 (No. 212)
Inequivalent atoms, fractional coordinates:
Li1 0.0046 0.0046 0.0046 (multiplicity 8)
Mn1 0.1196 0.1304 0.6250 (multiplicity 12)
Co1 0.1250 0.8750 0.3750 (multiplicity 4)
O1 0.0991 0.1260 0.3936 (multiplicity 24)
O2 0.1156 0.6156 0.8844 (multiplicity 8)

=====

(2)
Simulated powder diffraction line list
Compound: Li3Mn3CoO8
Radiation: CuKα
Structure: the PBE+U geometry in the Materials Project
Lines closer than 0.1° are merged.

Main lines, in order of rising 2θ (10 to 80 degrees two-theta):
| index | Position (°2θ) | I (rel.) |
| --- | --- | --- |
| 0 0 2 | 18.6 | 100 |
| 1 1 -1 | 19.7 | 56 |
| 1 1 1 | 19.8 | 68 |
| 0 2 1 | 20.0 | 55 |
| 0 2 2 | 25.7 | 47 |
| 0 2 3 | 33.3 | 50 |
| 1 3 -2 | 36.0 | 52 |
| 2 2 3 | 45.9 | 44 |
| 0 4 5 | 60.9 | 57 |
| 2 6 0 | 63.9 | 54 |

Cell and atoms:
Cell: 5.9056 10.0551 9.5451 Å, 90.00 90.67 90.00°
Space group Cc (No. 9)
Inequivalent atoms, fractional coordinates:
Li1 0.0000 0.0877 0.0000 (multiplicity 4)
Li2 0.0236 0.4100 0.5004 (multiplicity 4)
Li3 0.2560 0.1733 0.4998 (multiplicity 4)
Mn1 0.0131 0.0840 0.7284 (multiplicity 4)
Mn2 0.0163 0.4158 0.2286 (multiplicity 4)
Mn3 0.2649 0.1667 0.2292 (multiplicity 4)
Co1 0.2684 0.3310 0.9461 (multiplicity 4)
O1 0.0035 0.4191 0.8420 (multiplicity 4)
O2 0.0362 0.0801 0.3442 (multiplicity 4)
O3 0.0381 0.2562 0.1079 (multiplicity 4)
O4 0.2411 0.3252 0.3479 (multiplicity 4)
O5 0.2611 0.4833 0.1084 (multiplicity 4)
O6 0.2703 0.1551 0.8399 (multiplicity 4)
O7 0.2892 0.0071 0.1152 (multiplicity 4)
O8 0.4868 0.2562 0.1111 (multiplicity 4)

=====

(3)
Simulated powder diffraction line list
Compound: Li5MnCo2O8
Radiation: CuKα
Structure: the PBE+U geometry in the Materials Project
Lines closer than 0.1° are merged.

Main lines, in order of rising 2θ (10 to 80 degrees two-theta):
| index | Position (°2θ) | I (rel.) |
| --- | --- | --- |
| 1 0 0 | 17.8 | 14 |
| 1 0 -1 | 18.4 | 13 |
| 0 0 2 | 18.7 | 100 |
| 1 0 -2 | 23.2 | 9 |
| 1 1 -1 | 36.1 | 40 |
| 1 1 -3 | 43.7 | 64 |
| 2 0 2 | 44.3 | 30 |
| 1 1 -5 | 57.9 | 10 |
| 3 1 -1 | 63.6 | 16 |
| 1 1 5 | 64.4 | 16 |

Cell and atoms:
Cell: 5.0788 2.9102 9.6807 Å, 90.00 101.35 90.00°
Space group P2/m (No. 10)
Inequivalent atoms, fractional coordinates:
Li1 0.0000 0.0000 0.0000 (multiplicity 1)
Li2 0.2382 0.5000 0.2415 (multiplicity 2)
Li3 0.2476 0.0000 0.7599 (multiplicity 2)
Mn1 0.5000 0.0000 0.5000 (multiplicity 1)
Co1 0.0000 0.5000 0.5000 (multiplicity 1)
Co2 0.5000 0.5000 0.0000 (multiplicity 1)
O1 0.1426 0.0000 0.3816 (multiplicity 2)
O2 0.1683 0.5000 0.8882 (multiplicity 2)
O3 0.3905 0.0000 0.1093 (multiplicity 2)
O4 0.3950 0.5000 0.6135 (multiplicity 2)

=====

(4)
Simulated powder diffraction line list
Compound: Li5MnCo2O8
Radiation: CuKα
Structure: the PBE+U geometry in the Materials Project
Lines closer than 0.1° are merged.

Main lines, in order of rising 2θ (10 to 80 degrees two-theta):
| index | Position (°2θ) | I (rel.) |
| --- | --- | --- |
| 0 0 1 | 15.9 | 15 |
| 1 0 0 | 18.1 | 9 |
| 0 1 0 | 18.5 | 100 |
| 1 1 2 | 36.2 | 13 |
| 1 0 -2 | 36.3 | 12 |
| 2 0 0 | 36.7 | 12 |
| 1 2 2 | 43.9 | 30 |
| 1 1 -2 | 44.0 | 29 |
| 2 -1 0 | 44.2 | 29 |
| 2 -2 0 | 58.1 | 10 |

Cell and atoms:
Cell: 4.9655 5.0837 5.8409 Å, 73.06 89.94 80.84°
Space group P1 (No. 1)
Inequivalent atoms, fractional coordinates:
Li1 0.0000 0.0000 0.0000 (multiplicity 1)
Li2 0.0023 0.9955 0.5100 (multiplicity 1)
Li3 0.2450 0.5029 0.8778 (multiplicity 1)
Li4 0.4876 0.0087 0.2501 (multiplicity 1)
Li5 0.4893 0.0079 0.7558 (multiplicity 1)
Mn1 0.7445 0.5038 0.1283 (multiplicity 1)
Co1 0.2448 0.5022 0.3754 (multiplicity 1)
Co2 0.7443 0.5029 0.6399 (multiplicity 1)
O1 0.1058 0.2868 0.2021 (multiplicity 1)
O2 0.1143 0.2821 0.6611 (multiplicity 1)
O3 0.3772 0.7189 0.5506 (multiplicity 1)
O4 0.3816 0.7229 0.0923 (multiplicity 1)
O5 0.6037 0.2786 0.4235 (multiplicity 1)
O6 0.6396 0.2690 0.9534 (multiplicity 1)
O7 0.8497 0.7397 0.8332 (multiplicity 1)
O8 0.8877 0.7254 0.3130 (multiplicity 1)

=====

(5)
Simulated powder diffraction line list
Compound: Li5Mn2CoO8
Radiation: CuKα
Structure: the PBE+U geometry in the Materials Project
Lines closer than 0.1° are merged.

Main lines, in order of rising 2θ (10 to 80 degrees two-theta):
| index | Position (°2θ) | I (rel.) |
| --- | --- | --- |
| 0 0 2 | 18.0 | 14 |
| 0 1 0 | 18.4 | 100 |
| 0 1 -2 | 23.0 | 9 |
| 1 0 -2 | 34.7 | 17 |
| 1 -1 2 | 36.5 | 24 |
| 1 1 -2 | 41.6 | 37 |
| 1 -2 2 | 44.4 | 31 |
| 0 1 4 | 44.6 | 29 |
| 2 -1 0 | 62.7 | 9 |
| 1 -1 6 | 65.1 | 11 |

Cell and atoms:
Cell: 2.9686 5.0752 10.0736 Å, 100.71 92.61 104.09°
Space group P1 (No. 1)
Inequivalent atoms, fractional coordinates:
Li1 0.0000 0.0000 0.0000 (multiplicity 1)
Li2 0.0163 0.0256 0.5014 (multiplicity 1)
Li3 0.5090 0.0199 0.2527 (multiplicity 1)
Li4 0.5344 0.0171 0.7365 (multiplicity 1)
Li5 0.7432 0.4950 0.6224 (multiplicity 1)
Mn1 0.2667 0.5083 0.8642 (multiplicity 1)
Mn2 0.7683 0.5182 0.1268 (multiplicity 1)
Co1 0.2542 0.5173 0.3853 (multiplicity 1)
O1 0.1231 0.2886 0.1959 (multiplicity 1)
O2 0.1358 0.2671 0.6992 (multiplicity 1)
O3 0.3808 0.7471 0.5411 (multiplicity 1)
O4 0.4134 0.7480 0.0542 (multiplicity 1)
O5 0.6147 0.2866 0.4293 (multiplicity 1)
O6 0.6809 0.2986 0.9359 (multiplicity 1)
O7 0.8499 0.7269 0.8173 (multiplicity 1)
O8 0.8987 0.7425 0.3087 (multiplicity 1)

=====

(6)
Simulated powder diffraction line list
Compound: Li5Mn3Co2O10
Radiation: CuKα
Structure: the PBE+U geometry in the Materials Project
Lines closer than 0.1° are merged.

Main lines, in order of rising 2θ (10 to 80 degrees two-theta):
| index | Position (°2θ) | I (rel.) |
| --- | --- | --- |
| 0 0 1 | 12.7 | 60 |
| 0 1 0 | 18.1 | 45 |
| 1 0 -1 | 18.2 | 100 |
| 1 -1 0 | 22.2 | 24 |
| 0 2 -1 | 34.7 | 30 |
| 1 1 1 | 36.9 | 23 |
| 2 -1 1 | 42.0 | 78 |
| 1 2 -2 | 42.1 | 75 |
| -1 1 3 | 44.3 | 62 |
| 3 1 -1 | 61.0 | 41 |

Cell and atoms:
Cell: 5.2398 5.2506 7.7199 Å, 104.54 107.96 99.37°
Space group P-1 (No. 2)
Inequivalent atoms, fractional coordinates:
Li1 0.0000 0.0000 0.0000 (multiplicity 1)
Li2 0.2207 0.1056 0.7177 (multiplicity 2)
Li3 0.4097 0.7157 0.9117 (multiplicity 2)
Mn1 0.0000 0.5000 0.5000 (multiplicity 1)
Mn2 0.3930 0.1955 0.3963 (multiplicity 2)
Co1 0.2071 0.5941 0.1850 (multiplicity 2)
O1 0.0270 0.2607 0.2709 (multiplicity 2)
O2 0.1887 0.3686 0.9567 (multiplicity 2)
O3 0.2161 0.8169 0.4522 (multiplicity 2)
O4 0.3893 0.9555 0.1630 (multiplicity 2)
O5 0.4066 0.4275 0.6450 (multiplicity 2)

=====

(7)
Simulated powder diffraction line list
Compound: Li7Mn2Co3O12
Radiation: CuKα
Structure: the PBE+U geometry in the Materials Project
Lines closer than 0.1° are merged.

Main lines, in order of rising 2θ (10 to 80 degrees two-theta):
| index | Position (°2θ) | I (rel.) |
| --- | --- | --- |
| 1 1 0 | 13.6 | 12 |
| 2 0 0 | 18.3 | 100 |
| 1 3 -1 | 36.1 | 39 |
| 2 0 2 | 43.6 | 85 |
| 3 3 1 | 47.6 | 8 |
| 5 3 -1 | 57.4 | 9 |
| 5 3 1 | 62.8 | 15 |
| 6 0 -2 | 63.1 | 8 |
| 1 3 -3 | 63.8 | 22 |
| 1 3 3 | 66.9 | 10 |

Cell and atoms:
Cell: 9.8499 8.7601 5.0486 Å, 90.00 99.61 90.00°
Space group C2 (No. 5)
Inequivalent atoms, fractional coordinates:
Li1 0.0000 0.0000 0.0000 (multiplicity 2)
Li2 0.2431 0.8372 0.2399 (multiplicity 4)
Li3 0.2448 0.9998 0.7539 (multiplicity 4)
Li4 0.2503 0.1636 0.2510 (multiplicity 4)
Mn1 0.0000 0.1636 0.5000 (multiplicity 2)
Mn2 0.0000 0.3314 0.0000 (multiplicity 2)
Co1 0.0000 0.5100 0.5000 (multiplicity 2)
Co2 0.0000 0.6772 0.0000 (multiplicity 2)
Co3 0.0000 0.8391 0.5000 (multiplicity 2)
O1 0.1096 0.3280 0.3586 (multiplicity 4)
O2 0.1105 0.1791 0.8564 (multiplicity 4)
O3 0.1107 0.4950 0.8787 (multiplicity 4)
O4 0.1151 0.0099 0.3906 (multiplicity 4)
O5 0.1174 0.6625 0.3756 (multiplicity 4)
O6 0.1171 0.8246 0.8576 (multiplicity 4)

=====

(8)
Simulated powder diffraction line list
Compound: Li4MnCo3O8
Radiation: CuKα
Structure: the PBE+U geometry in the Materials Project
Lines closer than 0.1° are merged.

Main lines, in order of rising 2θ (10 to 80 degrees two-theta):
| index | Position (°2θ) | I (rel.) |
| --- | --- | --- |
| 0 0 2 | 18.2 | 100 |
| 1 1 -1 | 35.6 | 29 |
| 2 0 0 | 37.1 | 12 |
| 1 1 1 | 37.5 | 9 |
| 1 1 -3 | 42.9 | 53 |
| 2 0 2 | 45.0 | 23 |
| 1 1 3 | 47.7 | 9 |
| 1 1 -5 | 56.5 | 10 |
| 1 1 5 | 63.1 | 13 |
| 3 1 -1 | 64.6 | 13 |

Cell and atoms:
Cell: 4.9495 2.9815 9.9358 Å, 90.00 101.52 90.00°
Space group P2/m (No. 10)
Inequivalent atoms, fractional coordinates:
Li1 0.2471 0.0000 0.2573 (multiplicity 2)
Li2 0.2495 0.5000 0.7490 (multiplicity 2)
Mn1 0.0000 0.5000 0.0000 (multiplicity 1)
Co1 0.0000 0.0000 0.5000 (multiplicity 1)
Co2 0.5000 0.0000 0.0000 (multiplicity 1)
Co3 0.5000 0.5000 0.5000 (multiplicity 1)
O1 0.1333 0.0000 0.8856 (multiplicity 2)
O2 0.1374 0.5000 0.3821 (multiplicity 2)
O3 0.3635 0.0000 0.6179 (multiplicity 2)
O4 0.3750 0.5000 0.1038 (multiplicity 2)

=====

(9)
Simulated powder diffraction line list
Compound: Li4MnCo2O7
Radiation: CuKα
Structure: the PBE+U geometry in the Materials Project
Lines closer than 0.1° are merged.

Main lines, in order of rising 2θ (10 to 80 degrees two-theta):
| index | Position (°2θ) | I (rel.) |
| --- | --- | --- |
| 0 1 2 | 18.4 | 100 |
| 1 -1 1 | 35.5 | 14 |
| 0 2 -3 | 35.6 | 15 |
| 1 2 0 | 36.7 | 13 |
| -1 2 1 | 42.8 | 30 |
| 0 1 -5 | 43.3 | 29 |
| 1 3 2 | 44.6 | 26 |
| 1 -3 4 | 62.3 | 8 |
| -1 1 6 | 62.7 | 8 |
| 2 1 1 | 64.2 | 15 |

Cell and atoms:
Cell: 2.9060 7.7601 11.4376 Å, 81.84 83.11 81.56°
Space group P-1 (No. 2)
Inequivalent atoms, fractional coordinates:
Li1 0.0000 0.0000 0.0000 (multiplicity 1)
Li2 0.0689 0.2130 0.6441 (multiplicity 2)
Li3 0.1865 0.6556 0.9321 (multiplicity 2)
Li4 0.3574 0.0767 0.2023 (multiplicity 2)
Li5 0.5000 0.5000 0.5000 (multiplicity 1)
Mn1 0.4375 0.2763 0.8648 (multiplicity 2)
Co1 0.1325 0.4297 0.2845 (multiplicity 2)
Co2 0.2863 0.8575 0.5723 (multiplicity 2)
O1 0.0167 0.1275 0.8245 (multiplicity 2)
O2 0.0990 0.3131 0.4592 (multiplicity 2)
O3 0.1408 0.5564 0.1131 (multiplicity 2)
O4 0.2485 0.7394 0.7472 (multiplicity 2)
O5 0.3299 0.9748 0.3969 (multiplicity 2)
O6 0.3983 0.1899 0.0222 (multiplicity 2)
O7 0.4785 0.3989 0.6897 (multiplicity 2)

=====

(10)
Simulated powder diffraction line list
Compound: Li7Mn4CoO12
Radiation: CuKα
Structure: the PBE+U geometry in the Materials Project
Lines closer than 0.1° are merged.

Main lines, in order of rising 2θ (10 to 80 degrees two-theta):
| index | Position (°2θ) | I (rel.) |
| --- | --- | --- |
| 0 0 1 | 11.4 | 7 |
| 0 1 1 | 18.3 | 100 |
| 1 1 -2 | 34.7 | 17 |
| 2 1 1 | 36.4 | 23 |
| 1 0 -3 | 41.7 | 33 |
| 2 2 2 | 44.3 | 55 |
| 0 2 -4 | 62.4 | 16 |
| 3 2 -1 | 62.6 | 17 |
| 1 4 1 | 63.9 | 7 |
| 3 0 3 | 65.0 | 9 |

Cell and atoms:
Cell: 5.0268 5.8275 7.9391 Å, 79.39 80.36 73.14°
Space group P1 (No. 1)
Inequivalent atoms, fractional coordinates:
Li1 0.0000 0.0000 0.0000 (multiplicity 1)
Li2 0.0013 0.1679 0.3187 (multiplicity 1)
Li3 0.0026 0.6646 0.3189 (multiplicity 1)
Li4 0.0058 0.3304 0.6498 (multiplicity 1)
Li5 0.4978 0.8348 0.1610 (multiplicity 1)
Li6 0.4989 0.1666 0.8231 (multiplicity 1)
Li7 0.5133 0.4977 0.4805 (multiplicity 1)
Mn1 0.0089 0.8329 0.6514 (multiplicity 1)
Mn2 0.4985 0.6640 0.8257 (multiplicity 1)
Mn3 0.5030 0.3289 0.1608 (multiplicity 1)
Mn4 0.5129 0.0010 0.4810 (multiplicity 1)
Co1 0.9961 0.4938 0.0030 (multiplicity 1)
O1 0.2440 0.6407 0.0797 (multiplicity 1)
O2 0.2442 0.8416 0.4342 (multiplicity 1)
O3 0.2439 0.9773 0.7449 (multiplicity 1)
O4 0.2518 0.5199 0.7390 (multiplicity 1)
O5 0.2566 0.1928 0.0658 (multiplicity 1)
O6 0.2919 0.3162 0.3878 (multiplicity 1)
O7 0.7349 0.3517 0.9263 (multiplicity 1)
O8 0.7359 0.0187 0.2256 (multiplicity 1)
O9 0.7369 0.4956 0.2278 (multiplicity 1)
O10 0.7568 0.1396 0.5814 (multiplicity 1)
O11 0.7688 0.6844 0.5673 (multiplicity 1)
O12 0.7733 0.8075 0.8849 (multiplicity 1)